For InTe5Pb4, a DFT-relaxed cell (GGA-PBE, the Materials Project) gives the calculated PXRD pattern in this record (CuKα).
Neutral-atom scattering factors, no anomalous dispersion.

a = 4.5884 Å, b = 4.5884 Å, c = 56.5848 Å
α = 90.00°, β = 90.00°, γ = 120.00°
Space group R-3m (No. 166, hexagonal axes)
Symmetry-distinct sites (fractional):
In (0.0000, 0.0000, 0.0000) (multiplicity 3)
Te (0.0000, 0.0000, 0.1003) (multiplicity 6)
Te (0.0000, 0.0000, 0.3000) (multiplicity 6)
Te (0.0000, 0.0000, 0.5000) (multiplicity 3)
Pb (0.0000, 0.0000, 0.2002) (multiplicity 6)
Pb (0.0000, 0.0000, 0.3986) (multiplicity 6)

Main lines, in order of falling intensity (10 to 90 degrees two-theta):
d 3.252, I 1000, hkl 1 0 10
d 2.305, I 391, hkl 0 1 20
d 2.294, I 389, hkl 1 1 0
d 1.875, I 212, hkl 0 2 10
d 1.452, I 185, hkl 2 1 10
d 1.457, I 184, hkl 1 1 30